Entry 1:
The following is a theoretical PXRD pattern of ErSi2Au2. It was derived from a GGA-PBE-relaxed structure, using Cu Ka.

Atomic structure:
abc: 4.257 4.257 10.249
angles: 90.00 90.00 90.00
Space group I4/mmm (No. 139)
Asymmetric unit:
Er 0.000 0.000 0.000 (multiplicity 2)
Si 0.000 0.000 0.389 (multiplicity 4)
Au 0.000 0.500 0.250 (multiplicity 4)

Main lines, by angle (10 to 80 degrees two-theta):
- hkl 0 0 2, 2θ = 17.30°, intensity 19
- hkl 1 0 1, 2θ = 22.62°, intensity 13
- hkl 1 0 3, 2θ = 33.64°, intensity 12
- hkl 1 1 2, 2θ = 34.56°, intensity 100
- hkl 0 0 4, 2θ = 35.02°, intensity 19
- hkl 2 0 0, 2θ = 42.47°, intensity 33
- hkl 2 0 4, 2θ = 56.18°, intensity 20
- hkl 2 2 0, 2θ = 61.62°, intensity 11
- hkl 1 1 6, 2θ = 62.52°, intensity 16
- hkl 3 1 2, 2θ = 72.61°, intensity 24

---

Entry 2:
The following is a theoretical PXRD pattern of ErSnAu. It was derived from a GGA-PBE-relaxed structure, using Cu Ka.

Atomic structure:
abc: 4.6932 4.6932 7.4260
angles: 90.00 90.00 120.00
Space group P6_3mc (No. 186)
Asymmetric unit:
Er 0.0000 0.0000 0.0000 (multiplicity 2)
Sn 0.3333 0.6667 0.2281 (multiplicity 2)
Au 0.3333 0.6667 0.8331 (multiplicity 2)

Main lines, by angle (10 to 80 degrees two-theta):
- hkl 1 0 1, 2θ = 24.98°, intensity 29
- hkl 1 0 2, 2θ = 32.67°, intensity 100
- hkl 1 1 0, 2θ = 38.36°, intensity 96
- hkl 1 0 3, 2θ = 42.77°, intensity 33
- hkl 2 0 2, 2θ = 51.25°, intensity 29
- hkl 2 0 3, 2θ = 58.79°, intensity 13
- hkl 2 1 2, 2θ = 65.79°, intensity 27
- hkl 1 0 5, 2θ = 67.10°, intensity 13
- hkl 3 0 0, 2θ = 69.36°, intensity 17
- hkl 2 1 3, 2θ = 72.40°, intensity 15

---

Entry 3:
The following is a theoretical PXRD pattern of ErSnAu. It was derived from a GGA-PBE-relaxed structure, using Cu Ka.

Atomic structure:
abc: 6.704 6.704 6.704
angles: 90.00 90.00 90.00
Space group F-43m (No. 216)
Asymmetric unit:
Er 0.000 0.000 0.000 (multiplicity 4)
Sn 0.000 0.000 0.500 (multiplicity 4)
Au 0.250 0.250 0.250 (multiplicity 4)

Main lines, by angle (10 to 80 degrees two-theta):
- hkl 1 1 1, 2θ = 22.98°, intensity 42
- hkl 2 0 0, 2θ = 26.59°, intensity 4
- hkl 2 2 0, 2θ = 37.96°, intensity 100
- hkl 3 1 1, 2θ = 44.84°, intensity 22
- hkl 2 2 2, 2θ = 46.95°, intensity 1
- hkl 4 0 0, 2θ = 54.77°, intensity 18
- hkl 3 3 1, 2θ = 60.17°, intensity 9
- hkl 4 2 0, 2θ = 61.90°, intensity 2
- hkl 4 2 2, 2θ = 68.58°, intensity 36
- hkl 5 1 1, 2θ = 73.39°, intensity 7

---

Entry 4:
The following is a theoretical PXRD pattern of Er2ZnAu. It was derived from a GGA-PBE-relaxed structure, using Cu Ka.

Atomic structure:
abc: 7.116 7.116 7.116
angles: 90.00 90.00 90.00
Space group Fm-3m (No. 225)
Asymmetric unit:
Er 0.250 0.250 0.250 (multiplicity 8)
Zn 0.000 0.000 0.000 (multiplicity 4)
Au 0.000 0.000 0.500 (multiplicity 4)

Main lines, by angle (10 to 80 degrees two-theta):
- hkl 1 1 1, 2θ = 21.63°, intensity 10
- hkl 2 0 0, 2θ = 25.03°, intensity 1
- hkl 2 2 0, 2θ = 35.69°, intensity 100
- hkl 3 1 1, 2θ = 42.12°, intensity 6
- hkl 4 0 0, 2θ = 51.36°, intensity 18
- hkl 3 3 1, 2θ = 56.36°, intensity 3
- hkl 4 2 2, 2θ = 64.11°, intensity 36
- hkl 5 1 1, 2θ = 68.52°, intensity 2
- hkl 4 4 0, 2θ = 75.60°, intensity 11
- hkl 5 3 1, 2θ = 79.73°, intensity 2

---

Entry 5:
The following is a theoretical PXRD pattern of Eu3Au. It was derived from a GGA-PBE-relaxed structure, using Cu Ka.

Atomic structure:
abc: 8.049 10.216 6.991
angles: 90.00 90.00 90.00
Space group Pnma (No. 62)
Asymmetric unit:
Eu 0.035 0.250 0.142 (multiplicity 4)
Eu 0.176 0.063 0.663 (multiplicity 8)
Au 0.121 0.750 0.445 (multiplicity 4)

Main lines, by angle (10 to 80 degrees two-theta):
- hkl 2 1 1, 2θ = 27.01°, intensity 26
- hkl 2 2 0, 2θ = 28.23°, intensity 34
- hkl 0 3 1, 2θ = 29.18°, intensity 100
- hkl 2 2 1, 2θ = 31.03°, intensity 64
- hkl 1 3 1, 2θ = 31.26°, intensity 53
- hkl 1 2 2, 2θ = 32.98°, intensity 30
- hkl 2 3 0, 2θ = 34.50°, intensity 34
- hkl 0 4 0, 2θ = 35.13°, intensity 37
- hkl 3 0 1, 2θ = 35.85°, intensity 29
- hkl 1 2 3, 2θ = 44.17°, intensity 24

---

Entry 6:
The following is a theoretical PXRD pattern of EuAu. It was derived from a GGA-PBE-relaxed structure, using Cu Ka.

Atomic structure:
abc: 7.743 4.762 6.043
angles: 90.00 90.00 90.00
Space group Pnma (No. 62)
Asymmetric unit:
Eu 0.184 0.250 0.143 (multiplicity 4)
Au 0.040 0.250 0.648 (multiplicity 4)

Main lines, by angle (10 to 80 degrees two-theta):
- hkl 1 0 1, 2θ = 18.63°, intensity 24
- hkl 2 1 0, 2θ = 29.74°, intensity 60
- hkl 1 0 2, 2θ = 31.79°, intensity 39
- hkl 2 1 1, 2θ = 33.31°, intensity 100
- hkl 1 1 2, 2θ = 37.10°, intensity 93
- hkl 0 2 0, 2θ = 37.78°, intensity 46
- hkl 3 0 1, 2θ = 37.91°, intensity 23
- hkl 4 0 1, 2θ = 49.44°, intensity 22
- hkl 1 2 2, 2θ = 50.19°, intensity 22
- hkl 4 2 1, 2θ = 63.86°, intensity 20

---

Entry 7:
The following is a theoretical PXRD pattern of Eu2Ge3Au. It was derived from a GGA-PBE-relaxed structure, using Cu Ka.

Atomic structure:
abc: 4.3914 4.3914 8.7241
angles: 90.00 90.00 120.00
Space group P-6m2 (No. 187)
Asymmetric unit:
Eu 0.0000 0.0000 0.2451 (multiplicity 2)
Ge 0.3333 0.6667 0.5000 (multiplicity 1)
Ge 0.6667 0.3333 0.0000 (multiplicity 1)
Ge 0.6667 0.3333 0.5000 (multiplicity 1)
Au 0.3333 0.6667 0.0000 (multiplicity 1)

Main lines, by angle (10 to 80 degrees two-theta):
- hkl 0 0 1, 2θ = 10.14°, intensity 13
- hkl 1 0 1, 2θ = 25.55°, intensity 8
- hkl 1 0 2, 2θ = 31.20°, intensity 100
- hkl 1 1 0, 2θ = 41.11°, intensity 45
- hkl 0 0 4, 2θ = 41.40°, intensity 15
- hkl 2 0 2, 2θ = 52.50°, intensity 24
- hkl 1 1 4, 2θ = 59.76°, intensity 30
- hkl 2 1 2, 2θ = 68.76°, intensity 22
- hkl 1 0 6, 2θ = 69.17°, intensity 10
- hkl 3 0 0, 2θ = 74.91°, intensity 8

---

Entry 8:
The following is a theoretical PXRD pattern of Eu2Ge3Au. It was derived from a GGA-PBE-relaxed structure, using Cu Ka.

Atomic structure:
abc: 8.717 8.876 15.083
angles: 90.00 90.00 90.00
Space group Fmmm (No. 69)
Asymmetric unit:
Eu 0.000 0.246 0.000 (multiplicity 8)
Eu 0.250 0.250 0.250 (multiplicity 8)
Ge 0.000 0.000 0.165 (multiplicity 8)
Ge 0.248 0.000 0.082 (multiplicity 16)
Au 0.000 0.000 0.333 (multiplicity 8)

Main lines, by angle (10 to 80 degrees two-theta):
- hkl 1 1 1, 2θ = 15.41°, intensity 4
- hkl 1 1 3, 2θ = 22.74°, intensity 8
- hkl 2 2 2, 2θ = 31.12°, intensity 100
- hkl 0 4 0, 2θ = 40.66°, intensity 16
- hkl 4 0 0, 2θ = 41.46°, intensity 46
- hkl 0 2 8, 2θ = 52.73°, intensity 23
- hkl 4 4 0, 2θ = 59.47°, intensity 31
- hkl 2 6 2, 2θ = 68.08°, intensity 10
- hkl 4 2 8, 2θ = 69.20°, intensity 20
- hkl 6 0 6, 2θ = 75.62°, intensity 8